Record 1
SrAcGeCl: computed powder X-ray diffraction pattern (Cu Kα (λ = 1.5418 Å)), based on a crystal structure in Alexandria, relaxed with GGA-PBE.

Most intense lines, 2θ = 10–80°, by angle:
- d = 4.470 Å, I 23
- d = 3.871 Å, I 26
- d = 2.737 Å, I 100
- d = 2.334 Å, I 14
- d = 2.235 Å, I 8
- d = 1.935 Å, I 18
- d = 1.776 Å, I 6
- d = 1.731 Å, I 12
- d = 1.580 Å, I 38
- d = 1.369 Å, I 12
- d = 1.290 Å, I 6
- d = 1.224 Å, I 16

Structural model:
```
SrAcGeCl
1.0
0.000 3.871 3.871
3.871 0.000 3.871
3.871 3.871 0.000
Sr Ac Ge Cl
1 1 1 1
Direct
0.000 0.000 0.000 Sr
0.500 0.500 0.500 Ac
0.750 0.750 0.750 Ge
0.250 0.250 0.250 Cl
```

***

Record 2
SrAcGeCl: computed powder X-ray diffraction pattern (Cu Kα (λ = 1.5418 Å)), based on a crystal structure in Alexandria, relaxed with GGA-PBE.

Most intense lines, 2θ = 10–80°, by angle:
- d = 6.241 Å, I 51
- d = 4.686 Å, I 48
- d = 4.638 Å, I 100
- d = 3.747 Å, I 40
- d = 3.723 Å, I 79
- d = 3.120 Å, I 64
- d = 2.696 Å, I 87
- d = 2.669 Å, I 42
- d = 2.589 Å, I 45
- d = 2.040 Å, I 77
- d = 2.028 Å, I 38
- d = 1.347 Å, I 25

Structural model:
```
SrAcGeCl
1.0
6.241 0.000 0.000
0.000 2.669 4.686
0.000 -2.669 4.686
Sr Ac Ge Cl
1 1 1 1
Direct
0.000 0.000 0.000 Sr
0.500 0.669 0.669 Ac
0.500 0.000 0.000 Ge
0.000 0.669 0.669 Cl
```

***

Record 3
Ac4Ge2TeCl: computed powder X-ray diffraction pattern (Cu Kα (λ = 1.5418 Å)), based on a crystal structure in Alexandria, relaxed with GGA-PBE.

Most intense lines, 2θ = 10–80°, by angle:
- d = 3.743 Å, I 63
- d = 3.255 Å, I 100
- d = 3.217 Å, I 48
- d = 2.301 Å, I 39
- d = 2.288 Å, I 77
- d = 1.960 Å, I 23
- d = 1.872 Å, I 42
- d = 1.627 Å, I 14
- d = 1.456 Å, I 19
- d = 1.452 Å, I 19
- d = 1.442 Å, I 18
- d = 1.326 Å, I 27

Structural model:
```
Ac4Ge2TeCl
1.0
-3.255 3.255 6.433
3.255 -3.255 6.433
3.255 3.255 -6.433
Ac Ge Te Cl
4 2 1 1
Direct
0.000 0.500 0.500 Ac
0.246 0.246 0.000 Ac
0.500 0.000 0.500 Ac
0.754 0.754 0.000 Ac
0.250 0.750 0.500 Ge
0.750 0.250 0.500 Ge
0.500 0.500 0.000 Te
0.000 0.000 0.000 Cl
```

***

Record 4
Ac2HgCl: computed powder X-ray diffraction pattern (Cu Kα (λ = 1.5418 Å)), based on a crystal structure in Alexandria, relaxed with GGA-PBE.

Most intense lines, 2θ = 10–80°, by angle:
- d = 8.573 Å, I 20
- d = 3.817 Å, I 9
- d = 3.487 Å, I 8
- d = 2.851 Å, I 100
- d = 2.699 Å, I 43
- d = 2.286 Å, I 10
- d = 2.143 Å, I 11
- d = 1.909 Å, I 16
- d = 1.678 Å, I 21
- d = 1.586 Å, I 36
- d = 1.425 Å, I 12
- d = 1.338 Å, I 10

Structural model:
```
Ac2HgCl
1.0
3.817 0.000 0.000
0.000 3.817 0.000
0.000 0.000 8.573
Ac Hg Cl
2 1 1
Direct
0.000 0.000 0.245 Ac
0.000 0.000 0.755 Ac
0.500 0.500 0.000 Hg
0.500 0.500 0.500 Cl
```

***

Record 5
AcHg2Cl8: computed powder X-ray diffraction pattern (Cu Kα (λ = 1.5418 Å)), based on a crystal structure in Alexandria, relaxed with GGA-PBE.

Most intense lines, 2θ = 10–80°, by angle:
- d = 6.294 Å, I 38
- d = 5.096 Å, I 13
- d = 4.001 Å, I 100
- d = 3.603 Å, I 18
- d = 3.127 Å, I 19
- d = 2.580 Å, I 13
- d = 2.548 Å, I 23
- d = 2.405 Å, I 46
- d = 2.149 Å, I 43
- d = 2.000 Å, I 11
- d = 1.984 Å, I 17
- d = 1.565 Å, I 15

Structural model:
```
AcHg2Cl8
1.0
-3.603 3.603 6.461
3.603 -3.603 6.461
3.603 3.603 -6.461
Ac Hg Cl
1 2 8
Direct
0.000 0.000 0.000 Ac
0.250 0.750 0.500 Hg
0.750 0.250 0.500 Hg
0.063 0.570 0.864 Cl
0.199 0.063 0.493 Cl
0.293 0.430 0.493 Cl
0.430 0.937 0.136 Cl
0.570 0.707 0.507 Cl
0.707 0.199 0.136 Cl
0.801 0.293 0.864 Cl
0.937 0.801 0.507 Cl
```

***

Record 6
Ac6Ir3Cl2: computed powder X-ray diffraction pattern (Cu Kα (λ = 1.5418 Å)), based on a crystal structure in Alexandria, relaxed with GGA-PBE.

Most intense lines, 2θ = 10–80°, by angle:
- d = 7.665 Å, I 52
- d = 3.606 Å, I 17
- d = 3.169 Å, I 100
- d = 2.485 Å, I 24
- d = 2.292 Å, I 31
- d = 2.193 Å, I 40
- d = 2.108 Å, I 14
- d = 1.831 Å, I 16
- d = 1.803 Å, I 20
- d = 1.393 Å, I 18
- d = 1.284 Å, I 10
- d = 1.256 Å, I 12

Structural model:
```
Ac6Ir3Cl2
1.0
3.795 -6.583 0.000
3.795 6.583 0.000
-2.532 0.000 7.665
Ac Ir Cl
6 3 2
Direct
0.098 0.430 0.793 Ac
0.234 0.234 0.206 Ac
0.430 0.098 0.793 Ac
0.570 0.902 0.207 Ac
0.766 0.766 0.794 Ac
0.902 0.570 0.207 Ac
0.169 0.831 0.000 Ir
0.500 0.500 0.000 Ir
0.831 0.169 0.000 Ir
0.333 0.667 0.500 Cl
0.667 0.333 0.500 Cl
```

***

Record 7
AcNdIrCl: computed powder X-ray diffraction pattern (Cu Kα (λ = 1.5418 Å)), based on a crystal structure in Alexandria, relaxed with GGA-PBE.

Most intense lines, 2θ = 10–80°, by angle:
- d = 7.898 Å, I 74
- d = 3.500 Å, I 38
- d = 2.899 Å, I 100
- d = 2.486 Å, I 17
- d = 2.303 Å, I 13
- d = 2.115 Å, I 42
- d = 2.043 Å, I 17
- d = 1.990 Å, I 32
- d = 1.709 Å, I 21
- d = 1.449 Å, I 12
- d = 1.329 Å, I 19
- d = 1.266 Å, I 14

Structural model:
```
AcNdIrCl
1.0
2.115 1.221 7.898
-2.115 1.221 7.898
0.000 -2.443 7.898
Ac Nd Ir Cl
1 1 1 1
Direct
0.000 0.000 0.000 Ac
0.799 0.799 0.799 Nd
0.402 0.402 0.402 Ir
0.222 0.222 0.222 Cl
```

***

Record 8
Ac8Ir3Cl3O: computed powder X-ray diffraction pattern (Cu Kα (λ = 1.5418 Å)), based on a crystal structure in Alexandria, relaxed with GGA-PBE.

Most intense lines, 2θ = 10–80°, by angle:
- d = 7.726 Å, I 63
- d = 3.603 Å, I 22
- d = 3.171 Å, I 100
- d = 3.094 Å, I 36
- d = 2.493 Å, I 18
- d = 2.456 Å, I 14
- d = 2.302 Å, I 23
- d = 2.270 Å, I 17
- d = 2.216 Å, I 20
- d = 2.136 Å, I 31
- d = 1.802 Å, I 14
- d = 1.252 Å, I 14

Structural model:
```
Ac8Ir3Cl3O
1.0
7.314 -4.432 0.000
7.314 4.432 0.000
-4.869 0.000 7.726
Ac Ir Cl O
8 3 3 1
Direct
0.216 0.751 0.719 Ac
0.235 0.235 0.706 Ac
0.249 0.784 0.281 Ac
0.297 0.297 0.322 Ac
0.703 0.703 0.678 Ac
0.751 0.216 0.719 Ac
0.765 0.765 0.294 Ac
0.784 0.249 0.281 Ac
0.000 0.000 0.500 Ir
0.000 0.500 0.500 Ir
0.500 0.000 0.500 Ir
0.000 0.500 0.000 Cl
0.500 0.000 0.000 Cl
0.500 0.500 0.000 Cl
0.500 0.500 0.500 O
```

***

Record 9
Ac3IrPbCl: computed powder X-ray diffraction pattern (Cu Kα (λ = 1.5418 Å)), based on a crystal structure in Alexandria, relaxed with GGA-PBE.

Most intense lines, 2θ = 10–80°, by angle:
- d = 3.599 Å, I 25
- d = 3.521 Å, I 31
- d = 3.447 Å, I 57
- d = 3.403 Å, I 22
- d = 3.084 Å, I 100
- d = 3.025 Å, I 51
- d = 2.852 Å, I 28
- d = 2.809 Å, I 29
- d = 2.260 Å, I 26
- d = 2.239 Å, I 43
- d = 2.111 Å, I 39
- d = 1.542 Å, I 26

Structural model:
```
Ac3IrPbCl
1.0
8.550 0.000 0.000
0.000 4.478 0.000
-3.161 0.000 10.798
Ac Ir Pb Cl
6 2 2 2
Direct
0.062 0.250 0.374 Ac
0.206 0.250 0.939 Ac
0.421 0.750 0.649 Ac
0.579 0.250 0.351 Ac
0.794 0.750 0.061 Ac
0.938 0.750 0.626 Ac
0.185 0.250 0.647 Ir
0.815 0.750 0.353 Ir
0.225 0.750 0.192 Pb
0.775 0.250 0.808 Pb
0.422 0.750 0.906 Cl
0.578 0.250 0.094 Cl
```

***

Record 10
Ac6Ir2Pt3Cl: computed powder X-ray diffraction pattern (Cu Kα (λ = 1.5418 Å)), based on a crystal structure in Alexandria, relaxed with GGA-PBE.

Most intense lines, 2θ = 10–80°, by angle:
- d = 3.114 Å, I 100
- d = 3.092 Å, I 47
- d = 2.230 Å, I 19
- d = 2.199 Å, I 36
- d = 2.190 Å, I 38
- d = 2.175 Å, I 19
- d = 1.814 Å, I 9
- d = 1.804 Å, I 10
- d = 1.779 Å, I 20
- d = 1.557 Å, I 13
- d = 1.379 Å, I 9
- d = 1.260 Å, I 12

Structural model:
```
Ac6Ir2Pt3Cl
1.0
9.527 -2.175 0.000
9.527 2.175 0.000
-2.038 0.000 8.685
Ac Ir Pt Cl
6 2 3 1
Direct
0.007 0.007 0.271 Ac
0.324 0.324 0.903 Ac
0.332 0.332 0.424 Ac
0.668 0.668 0.576 Ac
0.676 0.676 0.097 Ac
0.993 0.993 0.729 Ac
0.164 0.164 0.327 Ir
0.836 0.836 0.673 Ir
0.159 0.159 0.834 Pt
0.500 0.500 0.500 Pt
0.841 0.841 0.166 Pt
0.500 0.500 0.000 Cl
```

***

Record 11
Ac6IrRh2Cl2: computed powder X-ray diffraction pattern (Cu Kα (λ = 1.5418 Å)), based on a crystal structure in Alexandria, relaxed with GGA-PBE.

Most intense lines, 2θ = 10–80°, by angle:
- d = 7.687 Å, I 39
- d = 3.590 Å, I 31
- d = 3.160 Å, I 100
- d = 2.483 Å, I 21
- d = 2.292 Å, I 31
- d = 2.181 Å, I 40
- d = 2.099 Å, I 10
- d = 1.833 Å, I 15
- d = 1.795 Å, I 20
- d = 1.580 Å, I 10
- d = 1.442 Å, I 9
- d = 1.387 Å, I 11

Structural model:
```
Ac6IrRh2Cl2
1.0
3.775 -6.551 0.000
3.775 6.551 0.000
-2.520 0.000 7.687
Ac Ir Rh Cl
6 1 2 2
Direct
0.098 0.428 0.791 Ac
0.235 0.235 0.208 Ac
0.428 0.098 0.791 Ac
0.572 0.902 0.209 Ac
0.765 0.765 0.792 Ac
0.902 0.572 0.209 Ac
0.500 0.500 0.000 Ir
0.170 0.830 0.000 Rh
0.830 0.170 0.000 Rh
0.333 0.667 0.500 Cl
0.667 0.333 0.500 Cl
```

***

Record 12
AcTbIrCl: computed powder X-ray diffraction pattern (Cu Kα (λ = 1.5418 Å)), based on a crystal structure in Alexandria, relaxed with GGA-PBE.

Most intense lines, 2θ = 10–80°, by angle:
- d = 7.797 Å, I 73
- d = 3.453 Å, I 36
- d = 2.860 Å, I 100
- d = 2.454 Å, I 16
- d = 2.273 Å, I 12
- d = 2.086 Å, I 42
- d = 2.016 Å, I 17
- d = 1.964 Å, I 32
- d = 1.686 Å, I 21
- d = 1.430 Å, I 11
- d = 1.311 Å, I 19
- d = 1.249 Å, I 13

Structural model:
```
AcTbIrCl
1.0
2.086 1.205 7.797
-2.086 1.205 7.797
0.000 -2.409 7.797
Ac Tb Ir Cl
1 1 1 1
Direct
0.000 0.000 0.000 Ac
0.202 0.202 0.202 Tb
0.595 0.595 0.595 Ir
0.778 0.778 0.778 Cl
```

***

Record 13
KAc2Cl7: computed powder X-ray diffraction pattern (Cu Kα (λ = 1.5418 Å)), based on a crystal structure in Alexandria, relaxed with GGA-PBE.

Most intense lines, 2θ = 10–80°, by angle:
- d = 7.141 Å, I 93
- d = 4.760 Å, I 43
- d = 4.444 Å, I 98
- d = 4.374 Å, I 78
- d = 3.962 Å, I 43
- d = 3.431 Å, I 42
- d = 2.580 Å, I 100
- d = 2.525 Å, I 77
- d = 2.426 Å, I 42
- d = 2.268 Å, I 39
- d = 1.915 Å, I 39
- d = 1.479 Å, I 28

Structural model:
```
KAc2Cl7
1.0
2.580 1.490 14.281
-2.580 1.490 14.281
0.000 -2.979 14.281
K Ac Cl
1 2 7
Direct
0.000 0.000 0.000 K
0.432 0.432 0.432 Ac
0.568 0.568 0.568 Ac
0.081 0.081 0.081 Cl
0.218 0.218 0.218 Cl
0.366 0.366 0.366 Cl
0.500 0.500 0.500 Cl
0.634 0.634 0.634 Cl
0.782 0.782 0.782 Cl
0.919 0.919 0.919 Cl
```

***

Record 14
K2AcClO2: computed powder X-ray diffraction pattern (Cu Kα (λ = 1.5418 Å)), based on a crystal structure in Alexandria, relaxed with GGA-PBE.

Most intense lines, 2θ = 10–80°, by angle:
- d = 6.602 Å, I 91
- d = 4.832 Å, I 54
- d = 3.899 Å, I 67
- d = 3.417 Å, I 74
- d = 3.301 Å, I 16
- d = 3.035 Å, I 28
- d = 2.726 Å, I 100
- d = 2.416 Å, I 43
- d = 2.269 Å, I 26
- d = 2.054 Å, I 26
- d = 1.808 Å, I 58
- d = 1.242 Å, I 16

Structural model:
```
K2AcClO2
1.0
4.832 0.000 0.000
0.000 4.832 0.000
0.000 0.000 6.602
K Ac Cl O
2 1 1 2
Direct
0.000 0.000 0.239 K
0.000 0.000 0.761 K
0.500 0.500 0.000 Ac
0.500 0.500 0.500 Cl
0.000 0.500 0.000 O
0.500 0.000 0.000 O
```